1.
Simulated powder diffractogram
Compound: ScSiBIr2
Radiation: Cu Kα (λ = 1.5418 Å)
Structure: a crystal structure in OQMD, relaxed with GGA-PBE
Intensities are scaled so that the largest is 100.

Principal peaks in the range 2θ from 10° to 80°, by intensity:
hkl, 2θ (°), I/Imax
1 1 2, 38.0, 100
0 0 2, 19.7, 73
1 1 0, 32.1, 37
2 0 0, 46.1, 33
1 1 4, 52.2, 29
2 0 2, 50.6, 26
3 1 2, 79.9, 23
2 0 4, 62.7, 19
0 0 4, 40.0, 18
1 1 6, 71.3, 14

Cell and atoms:
a b c (Å): 3.9378 3.9378 9.0138
angles (deg): 90.00 90.00 90.00
Space group I4mm (No. 107)
Asymmetric unit:
Sc  0.0000  0.0000  0.0000 x2
Si  0.0000  0.0000  0.3917 x2
B  0.0000  0.0000  0.6256 x2
Ir  0.0000  0.5000  0.2391 x4

2.
Simulated powder diffractogram
Compound: MgNb2Sb
Radiation: Cu Kα (λ = 1.5418 Å)
Structure: a crystal structure in OQMD, relaxed with GGA-PBE
Intensities are scaled so that the largest is 100.

Principal peaks in the range 2θ from 10° to 80°, by intensity:
hkl, 2θ (°), I/Imax
2 2 0, 37.8, 100
4 2 2, 68.3, 34
4 0 0, 54.6, 17
1 1 1, 22.9, 12
2 0 0, 26.5, 10
3 1 1, 44.7, 6
4 2 0, 61.7, 4
2 2 2, 46.8, 3
3 3 1, 60.0, 2
5 1 1, 73.1, 2

Cell and atoms:
a b c (Å): 6.7242 6.7242 6.7242
angles (deg): 90.00 90.00 90.00
Space group F-43m (No. 216)
Asymmetric unit:
Mg  0.0000  0.0000  0.0000 x4
Nb  0.0000  0.0000  0.5000 x4
Nb  0.2500  0.2500  0.2500 x4
Sb  0.2500  0.2500  0.7500 x4

3.
Simulated powder diffractogram
Compound: Cs2K4Zn2O5
Radiation: Cu Kα (λ = 1.5418 Å)
Structure: a crystal structure in OQMD, relaxed with GGA-PBE
Intensities are scaled so that the largest is 100.

Principal peaks in the range 2θ from 10° to 80°, by intensity:
hkl, 2θ (°), I/Imax
0 2 2, 30.3, 100
2 2 0, 30.0, 85
0 2 0, 15.5, 72
0 4 0, 31.2, 60
1 1 2, 30.1, 59
2 0 -2, 36.6, 40
2 2 1, 32.9, 38
2 4 1, 43.0, 37
1 3 -1, 29.7, 32
2 2 -1, 32.7, 31

Cell and atoms:
a b c (Å): 6.9621 11.4526 6.8794
angles (deg): 90.00 90.32 90.00
Space group C2/m (No. 12)
Asymmetric unit:
Cs  0.1721  0.0000  0.1991 x4
K  0.0000  0.2676  0.5000 x4
K  0.0000  0.2777  0.0000 x4
Zn  0.2037  0.5000  0.3062 x4
O  0.0000  0.5000  0.5000 x2
O  0.2055  0.1476  0.7729 x8

4.
Simulated powder diffractogram
Compound: HoTmNi2Ge4
Radiation: Cu Kα (λ = 1.5418 Å)
Structure: a crystal structure in OQMD, relaxed with GGA-PBE
Intensities are scaled so that the largest is 100.

Principal peaks in the range 2θ from 10° to 80°, by intensity:
hkl, 2θ (°), I/Imax
1 1 3, 34.8, 100
2 0 0, 43.3, 20
1 0 6, 38.8, 20
0 2 0, 44.8, 19
1 1 1, 31.2, 16
2 1 5, 56.7, 14
2 2 0, 64.1, 12
1 0 8, 48.6, 11
1 2 6, 60.7, 11
1 3 3, 76.1, 10

Cell and atoms:
a b c (Å): 4.1759 4.0474 16.7520
angles (deg): 90.00 90.00 90.00
Space group Amm2 (No. 38)
Asymmetric unit:
Ho  0.0000  0.0000  0.0000 x2
Tm  0.5000  0.0000  0.7838 x2
Ni  0.0000  0.0000  0.2151 x2
Ni  0.5000  0.0000  0.5693 x2
Ge  0.0000  0.0000  0.3514 x2
Ge  0.0000  0.0000  0.6404 x2
Ge  0.5000  0.0000  0.1443 x2
Ge  0.5000  0.0000  0.4324 x2

5.
Simulated powder diffractogram
Compound: NaZn2H3S2O8
Radiation: Cu Kα (λ = 1.5418 Å)
Structure: a crystal structure in OQMD, relaxed with GGA-PBE
Intensities are scaled so that the largest is 100.

Principal peaks in the range 2θ from 10° to 80°, by intensity:
hkl, 2θ (°), I/Imax
0 1 -1, 13.3, 100
0 2 0, 28.4, 54
0 1 -2, 20.5, 37
0 2 -3, 32.9, 37
2 -2 0, 32.0, 30
4 -2 0, 58.8, 24
0 1 2, 32.4, 22
0 0 3, 34.7, 20
2 0 0, 31.7, 18
-2 1 1, 30.3, 16

Cell and atoms:
a b c (Å): 6.2936 7.6956 8.8030
angles (deg): 114.78 92.58 112.30
Space group P-1 (No. 2)
Asymmetric unit:
Na  0.1575  0.2715  0.0874 x2
Zn  0.0000  0.5000  0.5000 x1
Zn  0.4901  0.9799  0.8041 x2
Zn  0.5000  0.5000  0.5000 x1
H  0.2142  0.7086  0.2678 x2
H  0.3809  0.7772  0.4898 x2
H  0.4743  0.7152  0.2713 x2
S  0.0417  0.0367  0.3009 x2
S  0.2821  0.5428  0.8562 x2
O  0.0444  0.4681  0.7364 x2
O  0.1353  0.2835  0.3669 x2
O  0.1636  0.9765  0.1511 x2
O  0.2131  0.0620  0.7995 x2
O  0.3566  0.7135  0.5688 x2
O  0.3878  0.8058  0.3029 x2
O  0.3992  0.7877  0.9310 x2
O  0.4412  0.4731  0.7385 x2

6.
Simulated powder diffractogram
Compound: Gd2AgAs4Au
Radiation: Cu Kα (λ = 1.5418 Å)
Structure: a crystal structure in OQMD, relaxed with GGA-PBE
Intensities are scaled so that the largest is 100.

Principal peaks in the range 2θ from 10° to 80°, by intensity:
hkl, 2θ (°), I/Imax
1 1 2, 36.0, 100
2 0 0, 44.9, 30
3 1 2, 76.9, 25
0 0 4, 35.1, 19
2 0 4, 58.2, 18
1 0 1, 23.7, 13
1 0 2, 28.1, 11
2 2 0, 65.3, 10
1 0 4, 41.8, 9
1 0 3, 34.4, 8

Cell and atoms:
a b c (Å): 4.0405 4.0405 10.2272
angles (deg): 90.00 90.00 90.00
Space group P-4m2 (No. 115)
Asymmetric unit:
Gd  0.0000  0.5000  0.2291 x2
Ag  0.5000  0.5000  0.5000 x1
As  0.0000  0.0000  0.0000 x1
As  0.0000  0.5000  0.6886 x2
As  0.5000  0.5000  0.0000 x1
Au  0.0000  0.0000  0.5000 x1

7.
Simulated powder diffractogram
Compound: SmSn2
Radiation: Cu Kα (λ = 1.5418 Å)
Structure: a crystal structure in OQMD, relaxed with GGA-PBE
Intensities are scaled so that the largest is 100.

Principal peaks in the range 2θ from 10° to 80°, by intensity:
hkl, 2θ (°), I/Imax
1 3 1, 32.7, 100
3 3 1, 68.6, 21
0 6 0, 33.8, 17
0 0 2, 39.5, 17
2 0 0, 40.4, 16
1 3 3, 67.5, 13
2 6 0, 53.6, 12
2 0 2, 57.8, 11
0 6 2, 53.0, 10
1 9 1, 59.8, 8

Cell and atoms:
a b c (Å): 4.4704 15.9184 4.5575
angles (deg): 90.00 90.00 90.00
Space group Cmmm (No. 65)
Asymmetric unit:
Sm  0.0000  0.1457  0.0000 x4
Sn  0.0000  0.0000  0.5000 x2
Sn  0.0000  0.3158  0.5000 x4
Sn  0.0000  0.5000  0.0000 x2

8.
Simulated powder diffractogram
Compound: Li2Mg2In2PtAu
Radiation: Cu Kα (λ = 1.5418 Å)
Structure: a crystal structure in OQMD, relaxed with GGA-PBE
Intensities are scaled so that the largest is 100.

Principal peaks in the range 2θ from 10° to 80°, by intensity:
hkl, 2θ (°), I/Imax
1 0 1, 23.5, 100
1 1 2, 38.8, 73
2 0 0, 38.9, 36
2 1 1, 46.0, 34
3 1 2, 70.4, 25
1 0 3, 45.8, 17
2 1 3, 61.6, 14
2 0 4, 70.2, 12
2 2 0, 56.2, 12
3 2 1, 75.5, 8

Cell and atoms:
a b c (Å): 4.6280 4.6280 6.5815
angles (deg): 90.00 90.00 90.00
Space group P-4m2 (No. 115)
Asymmetric unit:
Li  0.0000  0.0000  0.0000 x1
Li  0.5000  0.5000  0.5000 x1
Mg  0.0000  0.5000  0.2419 x2
In  0.0000  0.5000  0.7593 x2
Pt  0.5000  0.5000  0.0000 x1
Au  0.0000  0.0000  0.5000 x1

Copy entry 1 word for word.
Simulated powder diffractogram
Compound: ScSiBIr2
Radiation: Cu Kα (λ = 1.5418 Å)
Structure: a crystal structure in OQMD, relaxed with GGA-PBE
Intensities are scaled so that the largest is 100.

Principal peaks in the range 2θ from 10° to 80°, by intensity:
hkl, 2θ (°), I/Imax
1 1 2, 38.0, 100
0 0 2, 19.7, 73
1 1 0, 32.1, 37
2 0 0, 46.1, 33
1 1 4, 52.2, 29
2 0 2, 50.6, 26
3 1 2, 79.9, 23
2 0 4, 62.7, 19
0 0 4, 40.0, 18
1 1 6, 71.3, 14

Cell and atoms:
a b c (Å): 3.9378 3.9378 9.0138
angles (deg): 90.00 90.00 90.00
Space group I4mm (No. 107)
Asymmetric unit:
Sc  0.0000  0.0000  0.0000 x2
Si  0.0000  0.0000  0.3917 x2
B  0.0000  0.0000  0.6256 x2
Ir  0.0000  0.5000  0.2391 x4